# Sr2VZnN4
Calculated powder X-ray diffraction pattern, Cu Kα. Input: a DFT-relaxed cell (GGA-PBE, Alexandria).
Kinematic intensities with the Lorentz-polarization factor, no thermal factor.

Peak list (10 most intense, 15 to 90 degrees two-theta, in order of rising 2θ)
2θ (°)	d/Å	intensity	(hkl)
29.6	3.021	32	0 0 2
30.9	2.891	36	2 0 0
33.1	2.705	100	1 2 1
43.3	2.089	31	2 0 2
51.5	1.775	11	0 4 0
54.7	1.677	21	1 2 3
56.4	1.631	21	3 2 1
61.3	1.512	12	2 4 0
69.5	1.352	18	2 4 2
73.0	1.297	10	3 2 3

Structure:
```
data_Sr2VZnN4
_space_group_name_H-M_alt 'P 1'
_space_group_IT_number 1
_cell_length_a 5.7819
_cell_length_b 7.1005
_cell_length_c 6.0427
_cell_angle_alpha 90.00
_cell_angle_beta 90.00
_cell_angle_gamma 90.00
loop_
_space_group_symop_operation_xyz
'x,y,z'
loop_
_atom_site_label
_atom_site_type_symbol
_atom_site_fract_x
_atom_site_fract_y
_atom_site_fract_z
Sr1 Sr 0.2500 0.0015 0.2375
Sr2 Sr 0.2500 0.4985 0.2375
Sr3 Sr 0.7500 0.5015 0.7625
Sr4 Sr 0.7500 0.9985 0.7625
V1 V 0.2500 0.7500 0.8042
V2 V 0.7500 0.2500 0.1958
Zn1 Zn 0.2500 0.2500 0.7820
Zn2 Zn 0.7500 0.7500 0.2180
N1 N 0.0066 0.7500 0.9858
N2 N 0.2500 0.5212 0.6564
N3 N 0.2500 0.9788 0.6564
N4 N 0.4934 0.7500 0.9858
N5 N 0.5066 0.2500 0.0142
N6 N 0.7500 0.0212 0.3436
N7 N 0.7500 0.4788 0.3436
N8 N 0.9934 0.2500 0.0142
```